# Li2Ca2Ac3In4
Simulated XRD peak list, Cu Kα X-rays. Input: a cell relaxed with PBE.

Cell and atoms:
```
data_Li2Ca2Ac3In4
_cell_length_a 5.3034
_cell_length_b 5.3034
_cell_length_c 14.9304
_cell_angle_alpha 90.00
_cell_angle_beta 90.00
_cell_angle_gamma 120.00
_symmetry_space_group_name_H-M 'P -3 m 1'
_symmetry_Int_Tables_number 164
_symmetry_space_group_name_Hall '-P 3 2"'
loop_
_atom_site_label
_atom_site_type_symbol
_atom_site_fract_x
_atom_site_fract_y
_atom_site_fract_z
Li1 Li 0.3333 0.6667 0.1323
Ca1 Ca 0.3333 0.6667 0.5744
Ac1 Ac 0.0000 0.0000 0.0000
Ac2 Ac 0.0000 0.0000 0.2504
In1 In 0.3333 0.6667 0.3485
In2 In 0.3333 0.6667 0.8771
```

Top 8 peaks for 10 to 90 degrees two-theta, sorted by position:
Position (°2θ)  I/Imax  index
19.3  26  1 0 0
20.2  19  1 0 1
22.7  39  0 1 2
30.9  100  0 1 4
33.8  72  1 1 0
46.4  33  2 0 4
58.7  33  1 2 4
60.7  14  1 1 8